MgAlH5: computed X-ray powder pattern (λ = 1.5418 Å (Cu Kα)), based on a PBE-relaxed structure.

```
data_MgAlH5
_cell_length_a 4.502
_cell_length_b 4.233
_cell_length_c 6.846
_cell_angle_alpha 90.00
_cell_angle_beta 109.19
_cell_angle_gamma 90.00
_space_group_name_H-M_alt 'P 1 21 1'
_space_group_IT_number 4
loop_
_space_group_symop_operation_xyz
'x,y,z'
'-x,y+1/2,-z'
loop_
_atom_site_label
_atom_site_type_symbol
_atom_site_fract_x
_atom_site_fract_y
_atom_site_fract_z
Mg1 Mg 0.180 0.000 0.359
Al1 Al 0.408 0.000 0.817
H1 H 0.100 0.222 0.816
H2 H 0.151 0.776 0.609
H3 H 0.284 0.278 0.184
H4 H 0.335 0.750 0.000
H5 H 0.457 0.224 0.609
```

Main lines, low angle first (10° ≤ 2θ ≤ 90°):
| hkl | two_theta | I (rel.) |
| --- | --- | --- |
| 1 0 0 | 20.89 | 14 |
| 1 0 -2 | 28.67 | 16 |
| 1 1 0 | 29.78 | 100 |
| 0 1 2 | 34.92 | 45 |
| 1 1 -2 | 35.80 | 17 |
| 2 0 -1 | 40.05 | 18 |
| 1 0 2 | 40.21 | 28 |
| 0 2 0 | 42.73 | 14 |
| 2 1 -3 | 54.17 | 25 |
| 1 2 2 | 60.11 | 20 |